Structure and calculated X-ray powder pattern of Sr2CoO4 (a DFT-relaxed cell (PBE+U, Alexandria); Cu Kα (weighted mean of Kα1 and Kα2)).

Principal peaks in the range 2θ from 15° to 90°, in order of rising 2θ:
2θ = 31.4°, I = 69
2θ = 31.6°, I = 68
2θ = 32.7°, I = 100
2θ = 43.2°, I = 22
2θ = 43.9°, I = 33
2θ = 46.6°, I = 28
2θ = 47.2°, I = 27
2θ = 55.2°, I = 22
2θ = 57.4°, I = 25
2θ = 57.8°, I = 24
2θ = 68.5°, I = 16
2θ = 84.5°, I = 14

Structural model:
```
data_Sr2CoO4
_chemical_formula_sum 'Sr8 Co4 O16'
_symmetry_space_group_name_H-M 'P 1'
_symmetry_Int_Tables_number 1
_cell_length_a 8.7496
_cell_length_b 8.7496
_cell_length_c 5.4800
_cell_angle_alpha 107.78
_cell_angle_beta 107.78
_cell_angle_gamma 91.67
loop_
_symmetry_equiv_pos_as_xyz
'x,y,z'
loop_
_atom_site_label
_atom_site_type_symbol
_atom_site_fract_x
_atom_site_fract_y
_atom_site_fract_z
Sr1 Sr 0.1088 0.3956 0.7560
Sr2 Sr 0.1416 0.8584 0.0000
Sr3 Sr 0.3556 0.6444 0.5000
Sr4 Sr 0.3956 0.1088 0.7560
Sr5 Sr 0.6044 0.8912 0.2440
Sr6 Sr 0.6444 0.3556 0.5000
Sr7 Sr 0.8584 0.1416 0.0000
Sr8 Sr 0.8912 0.6044 0.2440
Co1 Co 0.0000 0.0000 0.5000
Co2 Co 0.2491 0.2491 0.2492
Co3 Co 0.5000 0.5000 0.0000
Co4 Co 0.7509 0.7509 0.7508
O1 O 0.0916 0.4104 0.2541
O2 O 0.1201 0.1201 0.8643
O3 O 0.1361 0.1361 0.3752
O4 O 0.1519 0.8481 0.5000
O5 O 0.3395 0.6605 0.0000
O6 O 0.3685 0.3685 0.1437
O7 O 0.3848 0.3848 0.6574
O8 O 0.4104 0.0916 0.2541
O9 O 0.5896 0.9084 0.7459
O10 O 0.6152 0.6152 0.3426
O11 O 0.6315 0.6315 0.8563
O12 O 0.6605 0.3395 0.0000
O13 O 0.8481 0.1519 0.5000
O14 O 0.8639 0.8639 0.6248
O15 O 0.8799 0.8799 0.1357
O16 O 0.9084 0.5896 0.7459
```